Entry 1:
Starting from a PBE+U-relaxed structure, the powder XRD pattern of CoNiP4O12 was calculated for Cu Kα.
Kinematic intensities with the Lorentz-polarization factor, no thermal factor.

Most intense lines, 2θ = 10–90°, by intensity:
2theta  d [Å]  intensity
29.48  3.030  100
14.28  6.204  55
20.71  4.290  38
26.14  3.409  31
27.75  3.215  29
34.34  2.612  26
30.90  2.894  25
42.69  2.118  22
37.32  2.409  21
24.95  3.569  20

Crystal structure
```
CoNiP4O12
1.0
5.947 -4.181 0.000
5.947 4.181 0.000
-4.788 0.000 8.798
Co Ni P O
2 2 8 24
Cartesian
2.356 3.725 6.598
4.750 -3.725 2.199
0.580 2.090 4.399
2.973 -2.090 0.000
5.738 1.987 0.211
3.761 1.987 4.187
-0.231 0.077 7.072
2.163 -0.077 2.673
4.943 0.077 6.124
7.336 -0.077 1.726
3.345 -1.987 4.610
1.367 -1.987 8.586
5.123 3.171 0.841
0.858 0.678 2.872
4.377 3.171 3.557
0.052 0.647 5.737
2.560 2.159 5.116
-0.213 1.209 8.222
-1.536 -0.678 7.271
2.152 2.159 8.081
3.377 0.910 3.049
2.446 -0.647 1.338
6.122 0.910 1.350
4.925 1.209 4.975
2.180 -1.209 3.823
0.983 -0.910 7.447
4.660 0.647 7.459
3.729 -0.910 5.749
4.954 -2.159 0.717
8.642 0.678 1.527
7.319 -1.209 0.576
4.546 -2.159 3.682
7.054 -0.647 3.061
2.729 -3.171 5.240
6.248 -0.678 5.926
1.983 -3.171 7.956
```


Entry 2:
Starting from a PBE+U-relaxed structure, the powder XRD pattern of CoNi2PtO6 was calculated for Cu Kα.
Kinematic intensities with the Lorentz-polarization factor, no thermal factor.

Most intense lines, 2θ = 10–90°, by intensity:
2theta  d [Å]  intensity
22.51  3.951  100
31.63  2.829  80
15.66  5.658  55
45.34  2.000  54
31.83  2.811  53
51.19  1.785  41
51.60  1.771  41
22.22  4.001  39
39.17  2.300  38
27.54  3.239  35

Crystal structure
```
CoNi2PtO6
1.0
5.658 0.000 0.000
0.000 5.658 0.000
0.000 0.000 3.951
Co Ni Pt O
1 2 1 6
Cartesian
0.000 0.000 0.000
0.000 2.829 0.965
2.829 0.000 0.965
2.829 2.829 0.314
0.000 0.000 2.264
1.407 1.407 0.553
1.407 4.251 0.553
2.829 2.829 2.339
4.251 1.407 0.553
4.251 4.251 0.553
```


Entry 3:
Starting from a PBE+U-relaxed structure, the powder XRD pattern of Co2ReNi2O6 was calculated for Cu Kα.
Kinematic intensities with the Lorentz-polarization factor, no thermal factor.

Most intense lines, 2θ = 10–90°, by intensity:
2theta  d [Å]  intensity
42.76  2.115  100
20.38  4.359  79
18.02  4.922  66
36.35  2.472  65
40.96  2.203  57
26.92  3.312  51
36.00  2.495  35
36.51  2.461  33
60.35  1.534  32
61.05  1.518  32

Crystal structure
```
Co2ReNi2O6
1.0
2.683 -4.479 0.000
2.683 4.479 0.000
-1.947 0.000 4.922
Co Re Ni O
2 1 2 6
Cartesian
2.683 2.907 0.000
2.683 -2.907 0.000
-0.974 0.000 2.461
1.709 1.433 2.461
1.709 -1.433 2.461
-0.205 1.538 3.599
0.708 0.000 1.314
-0.205 -1.538 3.599
3.623 1.538 1.322
2.711 0.000 3.608
3.623 -1.538 1.322
```